Sm4Bi3: calculated XRD peak list (Cu Kα (weighted mean of Kα1 and Kα2)), based on a structure optimized by DFT (GGA-PBE).

Most intense lines, 15 to 90 degrees two-theta, in order of rising 2θ:
two_theta  I (rel.)
22.73  12
29.48  100
35.04  66
42.18  19
44.35  14
46.43  13
48.45  20
59.47  31
61.18  11
62.86  15
72.50  20
87.61  11

a b c (Å): 8.2972 8.2972 8.2972
angles (deg): 109.47 109.47 109.47
Positions (direct):
Sm 0.0000 0.1441 0.5000
Sm 0.0000 0.6441 0.5000
Sm 0.1441 0.5000 0.0000
Sm 0.3559 0.3559 0.3559
Sm 0.5000 0.0000 0.1441
Sm 0.5000 0.0000 0.6441
Sm 0.6441 0.5000 0.0000
Sm 0.8559 0.8559 0.8559
Bi 0.1250 0.8750 0.2500
Bi 0.2500 0.1250 0.8750
Bi 0.3750 0.6250 0.7500
Bi 0.6250 0.7500 0.3750
Bi 0.7500 0.3750 0.6250
Bi 0.8750 0.2500 0.1250